1.
The following is a simulated PXRD pattern of K2NaAlCl6. It was derived from a structure optimized by DFT (PBE), using CuKα.

Main lines, in order of rising 2θ (2θ from 10° to 90°):
two_theta, d [Å], I_rel, h k l
15.1, 5.872, 10, 1 1 1
17.4, 5.086, 12, 2 0 0
24.8, 3.596, 19, 2 2 0
30.4, 2.936, 100, 2 2 2
35.3, 2.543, 97, 4 0 0
46.4, 1.957, 8, 3 3 3
50.8, 1.798, 57, 4 4 0
60.4, 1.533, 27, 6 2 2
63.4, 1.468, 17, 4 4 4
74.7, 1.271, 7, 8 0 0
82.7, 1.167, 9, 6 6 2
85.4, 1.137, 20, 8 4 0

```
data_K2NaAlCl6
_chemical_formula_sum 'K8 Na4 Al4 Cl24'
_symmetry_space_group_name_H-M 'F m -3 m'
_symmetry_Int_Tables_number 225
_symmetry_space_group_name_Hall '-F 4 2 3'
_cell_length_a 10.1712
_cell_length_b 10.1712
_cell_length_c 10.1712
_cell_angle_alpha 90.00
_cell_angle_beta 90.00
_cell_angle_gamma 90.00
loop_
_atom_site_label
_atom_site_type_symbol
_atom_site_fract_x
_atom_site_fract_y
_atom_site_fract_z
K1 K 0.2500 0.2500 0.2500
Na1 Na 0.0000 0.0000 0.0000
Al1 Al 0.0000 0.0000 0.5000
Cl1 Cl 0.0000 0.0000 0.2697
```


2.
The following is a simulated PXRD pattern of K6Na3Ti2Al2Si8Cl3O26. It was derived from a structure optimized by DFT (PBE), using CuKα.

Main lines, in order of rising 2θ (2θ from 10° to 90°):
two_theta, d [Å], I_rel, h k l
10.7, 8.252, 92, 0 1 -1
23.8, 3.745, 31, 1 -2 2
25.3, 3.524, 36, 2 -2 0
27.9, 3.197, 40, 0 3 -1
28.9, 3.088, 93, 2 -1 2
29.2, 3.063, 72, -2 2 1
30.4, 2.937, 63, 1 0 -3
30.6, 2.924, 63, -3 1 1
31.0, 2.887, 54, 1 -2 3
31.3, 2.862, 100, 1 -1 3
31.6, 2.833, 36, 2 1 -3
32.0, 2.799, 45, 2 0 2

```
data_K6Na3Ti2Al2Si8Cl3O26
_chemical_formula_sum 'K6 Na3 Ti2 Al2 Si8 Cl3 O26'
_symmetry_space_group_name_H-M 'P -1'
_symmetry_Int_Tables_number 2
_symmetry_space_group_name_Hall '-P 1'
_cell_length_a 9.2482
_cell_length_b 9.7790
_cell_length_c 9.7791
_cell_angle_alpha 115.10
_cell_angle_beta 98.20
_cell_angle_gamma 98.17
loop_
_atom_site_label
_atom_site_type_symbol
_atom_site_fract_x
_atom_site_fract_y
_atom_site_fract_z
K1 K 0.1072 0.0661 0.3490
K2 K 0.1075 0.3488 0.0660
K3 K 0.3630 0.0914 0.1074
Na1 Na 0.0000 0.5000 0.5000
Na2 Na 0.5000 0.3835 0.6166
Ti1 Ti 0.5000 0.0000 0.5000
Ti2 Ti 0.5000 0.5000 0.0000
Al1 Al 0.0000 0.3160 0.6840
Si1 Si 0.2642 0.6274 0.8233
Si2 Si 0.2641 0.8234 0.6275
Si3 Si 0.2770 0.1616 0.7357
Si4 Si 0.2769 0.7354 0.1616
Cl1 Cl 0.0000 0.0000 0.0000
Cl2 Cl 0.2759 0.3819 0.3820
O1 O 0.1021 0.5050 0.7386
O2 O 0.1021 0.7386 0.5049
O3 O 0.1096 0.1816 0.6755
O4 O 0.1096 0.6756 0.1817
O5 O 0.2528 0.7535 0.9977
O6 O 0.2529 0.9977 0.7534
O7 O 0.2971 0.7310 0.7310
O8 O 0.3540 0.2985 0.9096
O9 O 0.3538 0.9096 0.2982
O10 O 0.3689 0.1378 0.5992
O11 O 0.3689 0.5992 0.1379
O12 O 0.4031 0.5460 0.8352
O13 O 0.4031 0.8353 0.5462
```


3.
The following is a simulated PXRD pattern of K4Al3Si3ClO12. It was derived from a structure optimized by DFT (PBE), using CuKα.

Main lines, in order of rising 2θ (2θ from 10° to 90°):
two_theta, d [Å], I_rel, h k l
13.4, 6.626, 21, 1 1 0
23.3, 3.825, 100, 2 1 1
30.2, 2.963, 16, 3 1 0
33.1, 2.705, 14, 2 2 2
35.9, 2.504, 20, 3 2 1
38.4, 2.342, 5, 4 0 0
40.9, 2.209, 57, 3 3 0
49.6, 1.838, 5, 4 3 1
59.2, 1.562, 17, 6 0 0
61.0, 1.520, 15, 5 3 2
69.5, 1.352, 6, 4 4 4
74.4, 1.275, 20, 6 3 3

```
data_K4Al3Si3ClO12
_chemical_formula_sum 'K8 Al6 Si6 Cl2 O24'
_symmetry_space_group_name_H-M 'P -4 3 n'
_symmetry_Int_Tables_number 218
_symmetry_space_group_name_Hall 'P -4n 2 3'
_cell_length_a 9.3700
_cell_length_b 9.3700
_cell_length_c 9.3700
_cell_angle_alpha 90.00
_cell_angle_beta 90.00
_cell_angle_gamma 90.00
loop_
_atom_site_label
_atom_site_type_symbol
_atom_site_fract_x
_atom_site_fract_y
_atom_site_fract_z
K1 K 0.1864 0.1864 0.1864
Al1 Al 0.0000 0.2500 0.5000
Si1 Si 0.0000 0.5000 0.2500
Cl1 Cl 0.0000 0.0000 0.0000
O1 O 0.0212 0.3557 0.6536
```